For LiFe2P5O16, the GGA+U geometry in the Materials Project gives the simulated powder diffraction line list in this record (copper Kα).
Peak positions follow from Bragg's law for the DFT cell and can differ from measured ones.

Crystal structure
```
LiFe2P5O16
1.0
5.0774 0.0000 0.0000
0.0000 6.7933 0.0000
-0.0062 0.0000 18.8048
Li Fe P O
2 4 10 32
direct
0.0000 0.1192 0.0000
0.0000 0.8808 0.5000
0.0068 0.3224 0.4352
0.0068 0.6776 0.9352
0.5381 0.3258 0.1212
0.5381 0.6742 0.6212
0.0162 0.0350 0.1583
0.0162 0.9650 0.6583
0.0469 0.3694 0.6055
0.0469 0.6306 0.1055
0.2795 0.2412 0.2784
0.2795 0.7588 0.7784
0.5021 0.3764 0.9482
0.5021 0.6236 0.4482
0.5217 0.0236 0.3973
0.5217 0.9764 0.8973
0.0646 0.1954 0.6646
0.0646 0.8046 0.1646
0.0852 0.0902 0.2392
0.0852 0.9098 0.7392
0.1208 0.3485 0.3336
0.1208 0.6515 0.8336
0.1998 0.1320 0.1051
0.1998 0.8680 0.6051
0.2101 0.4278 0.9588
0.2101 0.5722 0.4588
0.3058 0.1015 0.4448
0.3058 0.8985 0.9448
0.3281 0.4449 0.5982
0.3281 0.5551 0.0982
0.4280 0.3592 0.2245
0.4280 0.6408 0.7245
0.4865 0.0958 0.3168
0.4865 0.9042 0.8168
0.4931 0.2082 0.8859
0.4931 0.7918 0.3859
0.6283 0.2774 0.0136
0.6283 0.7226 0.5136
0.6688 0.4589 0.4168
0.6688 0.5411 0.9168
0.7269 0.0724 0.1454
0.7269 0.9276 0.6454
0.8046 0.0589 0.4196
0.8046 0.9411 0.9196
0.8593 0.4791 0.1371
0.8593 0.5209 0.6371
0.9460 0.2714 0.5373
0.9460 0.7286 0.0373
```

The 10 most intense peaks (5° ≤ 2θ ≤ 70°), low angle first:
(hkl), 2θ (°), d [Å], intensity
0 0 2, 9.41, 9.402, 39
0 1 1, 13.86, 6.389, 77
0 1 2, 16.10, 5.506, 23
0 0 4, 18.88, 4.701, 56
1 1 1, 22.37, 3.975, 100
1 1 -2, 23.84, 3.733, 30
0 0 6, 28.48, 3.134, 26
1 2 -1, 32.06, 2.792, 37
1 1 -5, 32.42, 2.762, 18
1 2 2, 33.13, 2.704, 20



For Li2FeP2O7, the GGA+U geometry in the Materials Project gives the simulated powder diffraction line list in this record (copper Kα).
Peak positions follow from Bragg's law for the DFT cell and can differ from measured ones.

Crystal structure
```
Li2FeP2O7
1.0
8.5034 0.0000 0.0000
0.0000 5.0715 0.0000
-5.8013 0.0000 12.7847
Li Fe P O
8 4 8 28
direct
0.0059 0.2209 0.4239
0.0059 0.2791 0.9239
0.4551 0.7417 0.3257
0.4551 0.7583 0.8257
0.5449 0.2417 0.1743
0.5449 0.2583 0.6743
0.9941 0.7209 0.0761
0.9941 0.7791 0.5761
0.2794 0.7441 0.5213
0.2794 0.7559 0.0213
0.7206 0.2441 0.9787
0.7206 0.2559 0.4787
0.1713 0.2351 0.1470
0.1713 0.2649 0.6470
0.3078 0.2385 0.3771
0.3078 0.2615 0.8771
0.6922 0.7385 0.1229
0.6922 0.7615 0.6229
0.8287 0.7351 0.3530
0.8287 0.7649 0.8530
0.0079 0.6711 0.9316
0.0079 0.8289 0.4316
0.1615 0.2173 0.7586
0.1615 0.2827 0.2586
0.1993 0.5612 0.6384
0.1993 0.9388 0.1384
0.2256 0.1275 0.9424
0.2256 0.3725 0.4424
0.3162 0.0919 0.6422
0.3162 0.4081 0.1422
0.3343 0.5584 0.8987
0.3343 0.9416 0.3987
0.4714 0.1248 0.8802
0.4714 0.3752 0.3802
0.5286 0.6248 0.6198
0.5286 0.8752 0.1198
0.6657 0.0584 0.6013
0.6657 0.4416 0.1013
0.6838 0.5919 0.8578
0.6838 0.9081 0.3578
0.7744 0.6275 0.5576
0.7744 0.8725 0.0576
0.8007 0.0612 0.8616
0.8007 0.4388 0.3616
0.8385 0.7173 0.7414
0.8385 0.7827 0.2414
0.9921 0.1711 0.5684
0.9921 0.3289 0.0684
```

The 10 most intense peaks (5° ≤ 2θ ≤ 70°), low angle first:
(hkl), 2θ (°), d [Å], intensity
0 0 2, 13.85, 6.392, 44
1 1 -2, 22.37, 3.974, 100
2 0 0, 22.97, 3.872, 54
1 1 -4, 30.99, 2.886, 40
2 0 2, 31.58, 2.833, 20
0 2 0, 35.40, 2.536, 20
3 1 -2, 36.31, 2.474, 13
2 0 -6, 38.92, 2.314, 32
3 3 -2, 64.16, 1.452, 18
6 0 -4, 65.90, 1.417, 11



For LiFe2P2O8, the GGA+U geometry in the Materials Project gives the simulated powder diffraction line list in this record (copper Kα).
Peak positions follow from Bragg's law for the DFT cell and can differ from measured ones.

Crystal structure
```
LiFe2P2O8
1.0
10.3414 0.0000 0.0000
0.0000 5.1887 0.0000
0.0000 0.0000 13.7384
Li Fe P O
4 8 8 32
direct
0.2128 0.0418 0.0000
0.2872 0.0418 0.5000
0.7128 0.9582 0.0000
0.7872 0.9582 0.5000
0.0344 0.4188 0.5003
0.2150 0.0457 0.7474
0.2850 0.0457 0.2474
0.4656 0.4188 0.0003
0.5344 0.5812 0.5003
0.7150 0.9543 0.7474
0.7850 0.9543 0.2474
0.9656 0.5812 0.0003
0.0363 0.9357 0.3743
0.2176 0.5465 0.1262
0.2824 0.5465 0.6262
0.4637 0.9357 0.8743
0.5363 0.0643 0.3743
0.7176 0.4535 0.1262
0.7824 0.4535 0.6262
0.9637 0.0643 0.8743
0.0102 0.6459 0.3962
0.0274 0.9157 0.9635
0.0276 0.9862 0.7794
0.0706 0.4987 0.1068
0.1830 0.9963 0.3758
0.2124 0.4067 0.5376
0.2416 0.4257 0.7217
0.2476 0.8390 0.1218
0.2524 0.8390 0.6218
0.2584 0.4257 0.2217
0.2876 0.4067 0.0376
0.3170 0.9963 0.8758
0.4294 0.4987 0.6068
0.4724 0.9862 0.2794
0.4726 0.9157 0.4635
0.4898 0.6459 0.8962
0.5102 0.3541 0.3962
0.5274 0.0843 0.9635
0.5276 0.0138 0.7794
0.5706 0.5013 0.1068
0.6830 0.0037 0.3758
0.7124 0.5933 0.5376
0.7416 0.5743 0.7217
0.7476 0.1610 0.1218
0.7524 0.1610 0.6218
0.7584 0.5743 0.2217
0.7876 0.5933 0.0376
0.8170 0.0037 0.8758
0.9294 0.5013 0.6068
0.9724 0.0138 0.2794
0.9726 0.0843 0.4635
0.9898 0.3541 0.8962
```

The 10 most intense peaks (5° ≤ 2θ ≤ 70°), low angle first:
(hkl), 2θ (°), d [Å], intensity
2 0 2, 21.49, 4.136, 100
2 0 3, 25.98, 3.429, 8
1 1 3, 27.37, 3.259, 6
2 1 3, 31.27, 2.860, 8
1 1 4, 32.44, 2.760, 6
0 2 0, 34.57, 2.594, 12
4 0 0, 34.70, 2.585, 13
2 1 4, 35.84, 2.505, 7
2 0 5, 37.01, 2.429, 5
2 1 5, 41.10, 2.196, 12



For LiFePO4, the GGA+U geometry in the Materials Project gives the simulated powder diffraction line list in this record (copper Kα).
Peak positions follow from Bragg's law for the DFT cell and can differ from measured ones.

Crystal structure
```
LiFePO4
1.0
5.6600 0.0000 0.0000
1.4989 6.1165 0.0000
1.1978 1.9172 8.9344
Li Fe P O
4 4 4 16
direct
0.0000 0.0000 0.0000
0.2224 0.9306 0.4974
0.4553 0.1029 0.8598
0.7659 0.8373 0.6385
0.3383 0.2976 0.1628
0.4385 0.3918 0.5476
0.7729 0.5401 0.9468
0.8763 0.6412 0.3344
0.3004 0.6480 0.8231
0.4133 0.7763 0.1952
0.8061 0.1593 0.3012
0.9215 0.2897 0.6734
0.0441 0.7549 0.8855
0.1750 0.1769 0.6099
0.2256 0.6311 0.1962
0.2820 0.6334 0.6588
0.3163 0.0091 0.0943
0.3992 0.4115 0.9219
0.4540 0.7859 0.3559
0.4971 0.7874 0.8221
0.5443 0.2642 0.3639
0.6727 0.6701 0.1307
0.7198 0.1557 0.6742
0.7693 0.1455 0.1412
0.8311 0.5286 0.5772
0.9038 0.9282 0.4040
0.9463 0.2987 0.8384
0.9902 0.3079 0.3008
```

The 10 most intense peaks (5° ≤ 2θ ≤ 70°), low angle first:
(hkl), 2θ (°), d [Å], intensity
0 0 1, 9.90, 8.934, 29
0 1 0, 14.81, 5.980, 67
0 1 2, 22.20, 4.004, 34
1 1 -1, 23.83, 3.734, 22
1 0 2, 24.70, 3.605, 28
0 2 2, 32.35, 2.768, 30
2 0 0, 32.70, 2.738, 100
1 0 3, 33.08, 2.708, 25
1 2 -1, 34.78, 2.579, 32
1 0 -3, 35.43, 2.533, 27



For LiFePO4, the GGA+U geometry in the Materials Project gives the simulated powder diffraction line list in this record (copper Kα).
Peak positions follow from Bragg's law for the DFT cell and can differ from measured ones.

Crystal structure
```
LiFePO4
1.0
5.1123 0.0000 0.0000
0.0000 10.2539 0.0000
-5.0924 0.0000 6.8971
Li Fe P O
4 4 4 16
direct
0.2039 0.1509 0.0009
0.2039 0.3491 0.5009
0.7961 0.6509 0.4991
0.7961 0.8491 0.9991
0.2931 0.6563 0.9992
0.2931 0.8437 0.4992
0.7069 0.1563 0.5008
0.7069 0.3437 0.0008
0.0492 0.5962 0.2499
0.0492 0.9038 0.7499
0.9508 0.0962 0.2501
0.9508 0.4038 0.7501
0.0086 0.5527 0.7506
0.0086 0.9473 0.2506
0.1094 0.6573 0.4344
0.1094 0.8427 0.9344
0.2515 0.1603 0.4368
0.2515 0.3397 0.9368
0.3514 0.6238 0.2521
0.3514 0.8762 0.7521
0.6486 0.1238 0.2479
0.6486 0.3762 0.7479
0.7485 0.6603 0.0632
0.7485 0.8397 0.5632
0.8906 0.1573 0.0656
0.8906 0.3427 0.5656
0.9914 0.0527 0.7494
0.9914 0.4473 0.2494
```

The 10 most intense peaks (5° ≤ 2θ ≤ 70°), low angle first:
(hkl), 2θ (°), d [Å], intensity
0 1 1, 15.48, 5.723, 36
1 0 -2, 21.63, 4.109, 100
1 1 0, 23.32, 3.815, 61
0 3 1, 29.16, 3.063, 25
0 2 2, 31.26, 2.861, 25
0 4 0, 35.00, 2.563, 28
2 0 -2, 35.11, 2.556, 33
1 2 1, 35.97, 2.497, 21
1 1 -4, 44.14, 2.052, 14
0 6 2, 60.46, 1.531, 16



For LiFeP2O7, the GGA+U geometry in the Materials Project gives the simulated powder diffraction line list in this record (copper Kα).
Peak positions follow from Bragg's law for the DFT cell and can differ from measured ones.

Crystal structure
```
LiFeP2O7
1.0
4.9588 0.0000 0.0000
-2.3992 8.1496 0.0000
-0.1144 -4.2491 7.5809
Li Fe P O
2 2 4 14
direct
0.0000 0.0000 0.0000
0.3686 0.9961 0.4969
0.2820 0.4314 0.1659
0.5498 0.4342 0.6785
0.1555 0.6299 0.9536
0.6381 0.2221 0.2681
0.8469 0.6272 0.4507
0.9579 0.2194 0.7670
0.0307 0.7796 0.9899
0.0408 0.2329 0.9467
0.1154 0.7791 0.4870
0.2190 0.2336 0.6731
0.2348 0.6149 0.1174
0.3831 0.2359 0.1721
0.3910 0.6167 0.8407
0.5595 0.2301 0.4430
0.5960 0.6175 0.3354
0.6948 0.0632 0.6587
0.7359 0.0625 0.1556
0.7551 0.6154 0.6144
0.8849 0.4222 0.8238
0.9054 0.4204 0.3250
```

The 10 most intense peaks (5° ≤ 2θ ≤ 70°), low angle first:
(hkl), 2θ (°), d [Å], intensity
0 1 0, 12.45, 7.109, 100
1 0 -1, 20.49, 4.335, 59
1 -1 1, 20.75, 4.281, 26
0 2 -2, 24.57, 3.623, 10
1 0 -2, 27.63, 3.228, 16
1 -1 2, 27.96, 3.191, 13
1 1 -2, 28.08, 3.178, 11
1 -2 2, 28.47, 3.136, 9
1 1 1, 32.25, 2.775, 18
1 2 1, 43.11, 2.098, 10



For LiFePO4, the GGA+U geometry in the Materials Project gives the simulated powder diffraction line list in this record (copper Kα).
Peak positions follow from Bragg's law for the DFT cell and can differ from measured ones.

Crystal structure
```
LiFePO4
1.0
10.3305 0.0000 0.0000
0.0000 6.8610 0.0000
0.0000 0.0000 5.1285
Li Fe P O
4 4 4 16
direct
0.1475 0.0014 0.0000
0.3525 0.5014 0.5000
0.6475 0.4986 0.0000
0.8525 0.9986 0.5000
0.1619 0.5017 0.0015
0.3381 0.0017 0.5015
0.6619 0.9983 0.0015
0.8381 0.4983 0.5015
0.0970 0.2554 0.5052
0.4030 0.7554 0.0052
0.5970 0.2446 0.5052
0.9030 0.7446 0.0052
0.0512 0.7434 0.9552
0.1268 0.2506 0.8033
0.1544 0.0693 0.3779
0.1627 0.4415 0.3921
0.3373 0.9415 0.8921
0.3456 0.5693 0.8779
0.3732 0.7506 0.3033
0.4488 0.2434 0.4552
0.5512 0.7566 0.9552
0.6268 0.2494 0.8033
0.6544 0.4307 0.3779
0.6627 0.0585 0.3921
0.8373 0.5585 0.8921
0.8456 0.9307 0.8779
0.8732 0.7494 0.3033
0.9488 0.2566 0.4552
```

The 10 most intense peaks (5° ≤ 2θ ≤ 70°), low angle first:
(hkl), 2θ (°), d [Å], intensity
1 1 0, 15.50, 5.715, 34
0 1 1, 21.59, 4.116, 100
1 1 1, 23.30, 3.817, 59
3 1 0, 29.01, 3.078, 26
2 2 0, 31.30, 2.858, 26
4 0 0, 34.74, 2.583, 25
0 0 2, 34.99, 2.564, 32
2 2 1, 35.98, 2.496, 40
3 3 0, 47.68, 1.907, 17
2 2 3, 63.40, 1.467, 17



For LiFeP2O7, the GGA+U geometry in the Materials Project gives the simulated powder diffraction line list in this record (copper Kα).
Peak positions follow from Bragg's law for the DFT cell and can differ from measured ones.

Crystal structure
```
LiFeP2O7
1.0
6.2288 0.0000 0.0000
-2.4487 5.9308 0.0000
-2.0730 -2.1196 7.4001
Li Fe P O
2 2 4 14
direct
0.0000 0.0000 0.0000
0.0000 0.0000 0.5000
0.3855 0.6911 0.2337
0.6145 0.3089 0.7663
0.1723 0.4353 0.7800
0.4392 0.2294 0.3127
0.5608 0.7706 0.6873
0.8277 0.5647 0.2200
0.1058 0.6708 0.3147
0.2551 0.2359 0.7655
0.2618 0.5934 0.9682
0.2715 0.3267 0.2066
0.2786 0.5918 0.6520
0.3868 0.9950 0.1919
0.4114 0.2138 0.4963
0.5886 0.7862 0.5037
0.6132 0.0050 0.8081
0.7214 0.4082 0.3480
0.7285 0.6733 0.7934
0.7382 0.4066 0.0318
0.7449 0.7641 0.2345
0.8942 0.3292 0.6853
```

The 10 most intense peaks (5° ≤ 2θ ≤ 70°), low angle first:
(hkl), 2θ (°), d [Å], intensity
0 1 0, 15.54, 5.702, 60
1 0 0, 16.41, 5.403, 73
1 0 -1, 16.64, 5.327, 18
0 1 -1, 16.81, 5.273, 37
0 0 2, 24.05, 3.701, 100
1 -2 0, 28.26, 3.158, 40
2 -1 0, 29.73, 3.005, 14
0 2 -1, 30.34, 2.946, 19
2 0 -1, 31.07, 2.878, 46
2 -2 0, 34.26, 2.617, 15